Calculated powder X-ray diffraction pattern of WI2Br8 for Cu Ka, from a crystal structure in Alexandria, relaxed with PBE.
No peak broadening, texture or thermal motion is included.

Crystal structure
Unit cell a=8.137 b=8.255 c=8.736 alpha=63.65 beta=64.65 gamma=75.56
Space group P-1 (No. 2)
Unique sites:
W  0.000  0.000  0.000 x1
I  0.266  0.464  0.290 x2
Br  0.031  0.339  0.855 x2
Br  0.044  0.004  0.701 x2
Br  0.329  0.945  0.927 x2
Br  0.465  0.696  0.608 x2

The 10 most intense peaks (15 to 90 degrees two-theta), in order of rising 2θ:
h k l  d/Å  I/Imax
0 1 -1  4.414  96
0 1 2  3.921  100
0 2 0  3.689  53
1 1 -1  3.511  61
1 2 0  3.397  46
2 -1 0  3.192  39
1 3 1  2.692  58
3 0 1  2.625  78
2 -1 2  2.604  54
1 4 3  1.967  40